Starting from a DFT-relaxed cell (PBE, the Materials Project), the powder XRD pattern of Mg6CuSiO8 was computed for Cu Kα (weighted mean of Kα1 and Kα2).
Peak positions follow from Bragg's law for the DFT cell and can differ from measured ones.

Crystal structure
```
Mg6CuSiO8
1.0
4.2541 0.0000 0.0000
0.0000 4.2541 0.0000
0.0000 0.0000 8.6946
Mg Cu Si O
6 1 1 8
Cartesian
0.0000 0.0000 0.0000
0.0000 2.1271 2.1711
0.0000 2.1271 6.5235
2.1271 0.0000 2.1711
2.1271 0.0000 6.5235
2.1271 2.1271 0.0000
0.0000 0.0000 4.3473
2.1271 2.1271 4.3473
0.0000 0.0000 2.0410
0.0000 0.0000 6.6536
0.0000 2.1271 0.0000
0.0000 2.1271 4.3473
2.1271 0.0000 0.0000
2.1271 0.0000 4.3473
2.1271 2.1271 2.2412
2.1271 2.1271 6.4534
```

Peak list (10 most intense, 2θ = 10–80°, by angle)
10.17°, intensity 22.0
20.88°, intensity 6.9
23.28°, intensity 8.2
36.32°, intensity 32.3
41.55°, intensity 52.9
42.50°, intensity 100.0
60.94°, intensity 58.3
61.67°, intensity 29.1
73.72°, intensity 11.6
77.12°, intensity 26.3



Starting from a DFT-relaxed cell (PBE, the Materials Project), the powder XRD pattern of MgCu2Si4O12 was computed for Cu Kα (weighted mean of Kα1 and Kα2).
Peak positions follow from Bragg's law for the DFT cell and can differ from measured ones.

Crystal structure
```
MgCu2Si4O12
1.0
5.2850 0.0000 0.0000
0.5952 5.7153 0.0000
1.2375 0.5312 7.1698
Mg Cu Si O
1 2 4 12
Cartesian
0.0000 0.0000 0.0000
3.7185 1.4450 5.8407
3.3993 4.8015 1.3291
1.6567 2.4621 1.4182
2.8537 4.8025 4.4418
4.2640 1.4440 2.7280
5.4610 3.7844 5.7516
1.6296 3.8493 5.0089
2.2183 0.4341 5.4062
1.8640 3.9336 0.6992
1.6047 1.2180 0.3199
2.5795 5.2297 2.8990
2.8825 2.2930 2.4891
4.2353 3.9535 4.6808
4.5383 1.0168 4.2708
5.5130 5.0285 6.8499
5.2538 2.3129 6.4706
4.8994 5.8124 1.7636
5.4882 2.3972 2.1609
```

Peak list (10 most intense, 2θ = 10–80°, by angle)
12.35°, intensity 28.9
17.09°, intensity 73.5
24.84°, intensity 29.4
26.50°, intensity 100.0
28.42°, intensity 40.4
32.58°, intensity 27.9
32.95°, intensity 27.9
33.74°, intensity 38.3
34.52°, intensity 28.6
36.58°, intensity 33.3



Starting from a DFT-relaxed cell (PBE, the Materials Project), the powder XRD pattern of Sm2MgCuO4 was computed for Cu Kα (weighted mean of Kα1 and Kα2).
Peak positions follow from Bragg's law for the DFT cell and can differ from measured ones.

Crystal structure
```
Sm2MgCuO4
1.0
-2.0449 2.0449 8.3660
2.0449 -2.0449 8.3660
2.0449 2.0449 -8.3660
Sm Mg Cu O
2 1 1 4
Cartesian
0.0000 0.0000 3.1457
0.0000 0.0000 13.5863
0.0000 0.0000 0.0000
0.0000 0.0000 8.3660
2.0449 0.0000 0.0000
2.0449 0.0000 4.1830
0.0000 2.0449 0.0000
0.0000 2.0449 4.1830
```

Peak list (10 most intense, 2θ = 10–80°, by angle)
10.57°, intensity 27.8
21.24°, intensity 13.4
27.04°, intensity 100.0
30.92°, intensity 36.9
32.10°, intensity 14.5
34.63°, intensity 28.3
44.30°, intensity 26.8
45.17°, intensity 22.3
52.67°, intensity 31.5
57.42°, intensity 13.5



Starting from a DFT-relaxed cell (PBE, the Materials Project), the powder XRD pattern of Mg6CuSnO8 was computed for Cu Kα (weighted mean of Kα1 and Kα2).
Peak positions follow from Bragg's law for the DFT cell and can differ from measured ones.

Crystal structure
```
Mg6CuSnO8
1.0
4.3986 0.0000 0.0000
0.0000 4.3986 0.0000
0.0000 0.0000 8.8586
Mg Cu Sn O
6 1 1 8
Cartesian
0.0000 0.0000 0.0000
0.0000 0.0000 4.4293
0.0000 2.1993 2.0439
0.0000 2.1993 6.8147
2.1993 0.0000 2.0439
2.1993 0.0000 6.8147
2.1993 2.1993 0.0000
2.1993 2.1993 4.4293
0.0000 0.0000 2.2240
0.0000 0.0000 6.6346
0.0000 2.1993 0.0000
0.0000 2.1993 4.4293
2.1993 0.0000 0.0000
2.1993 0.0000 4.4293
2.1993 2.1993 2.2043
2.1993 2.1993 6.6543
```

Peak list (10 most intense, 2θ = 10–80°, by angle)
20.05°, intensity 27.8
20.19°, intensity 52.3
28.60°, intensity 45.7
35.26°, intensity 60.1
40.74°, intensity 48.6
41.04°, intensity 100.0
46.11°, intensity 25.9
59.21°, intensity 57.9
59.43°, intensity 30.1
74.56°, intensity 27.2



Starting from a DFT-relaxed cell (PBE, the Materials Project), the powder XRD pattern of Mg14CuSnO16 was computed for Cu Kα (weighted mean of Kα1 and Kα2).
Peak positions follow from Bragg's law for the DFT cell and can differ from measured ones.

Crystal structure
```
Mg14CuSnO16
1.0
4.3077 0.0000 0.0000
0.0000 8.6374 0.0000
0.0000 0.0000 8.7223
Mg Cu Sn O
14 1 1 16
Cartesian
0.0000 0.0000 0.0000
0.0000 2.0763 2.1428
0.0000 2.0763 6.5795
0.0000 4.3187 0.0000
0.0000 6.5611 2.1428
0.0000 6.5611 6.5795
2.1539 0.0000 2.1868
2.1539 0.0000 6.5355
2.1539 2.0238 4.3612
2.1539 2.1283 0.0000
2.1539 4.3187 2.0854
2.1539 4.3187 6.6370
2.1539 6.5091 0.0000
2.1539 6.6136 4.3612
0.0000 0.0000 4.3612
0.0000 4.3187 4.3612
0.0000 0.0000 2.0228
0.0000 0.0000 6.6996
0.0000 2.1194 4.3612
0.0000 2.1769 0.0000
0.0000 4.3187 2.0653
0.0000 4.3187 6.6571
0.0000 6.4605 0.0000
0.0000 6.5180 4.3612
2.1539 0.0000 0.0000
2.1539 0.0000 4.3612
2.1539 2.1692 2.1961
2.1539 2.1692 6.5263
2.1539 4.3187 0.0000
2.1539 4.3187 4.3612
2.1539 6.4682 2.1961
2.1539 6.4682 6.5263
```

Peak list (10 most intense, 2θ = 10–80°, by angle)
10.15°, intensity 64.7
20.59°, intensity 32.2
23.01°, intensity 47.1
35.93°, intensity 67.3
41.41°, intensity 87.8
41.83°, intensity 85.0
41.95°, intensity 85.9
60.37°, intensity 100.0
60.73°, intensity 49.4
76.18°, intensity 45.6



Starting from a DFT-relaxed cell (PBE, the Materials Project), the powder XRD pattern of Mg14CuSnO16 was computed for Cu Kα (weighted mean of Kα1 and Kα2).
Peak positions follow from Bragg's law for the DFT cell and can differ from measured ones.

Crystal structure
```
Mg14CuSnO16
1.0
8.6862 0.0000 0.0000
0.0000 8.6862 0.0000
0.0000 0.0000 4.2944
Mg Cu Sn O
14 1 1 16
Cartesian
0.0000 2.1275 0.0000
0.0000 4.3431 2.1472
0.0000 6.5587 0.0000
2.0565 4.3431 0.0000
2.0906 2.0906 2.1472
2.0906 6.5956 2.1472
2.1275 0.0000 0.0000
4.3431 0.0000 2.1472
4.3431 2.0565 0.0000
4.3431 6.6297 0.0000
6.5587 0.0000 0.0000
6.5956 2.0906 2.1472
6.5956 6.5956 2.1472
6.6297 4.3431 0.0000
0.0000 0.0000 2.1472
4.3431 4.3431 2.1472
0.0000 0.0000 0.0000
0.0000 2.2693 2.1472
0.0000 4.3431 0.0000
0.0000 6.4170 2.1472
2.0651 4.3431 2.1472
2.1737 2.1737 0.0000
2.1737 6.5126 0.0000
2.2693 0.0000 2.1472
4.3431 0.0000 0.0000
4.3431 2.0651 2.1472
4.3431 4.3431 0.0000
4.3431 6.6212 2.1472
6.4170 0.0000 2.1472
6.5126 2.1737 0.0000
6.5126 6.5126 0.0000
6.6212 4.3431 2.1472
```

Peak list (10 most intense, 2θ = 10–80°, by angle)
14.42°, intensity 31.1
20.45°, intensity 19.3
25.31°, intensity 21.1
29.25°, intensity 16.1
35.95°, intensity 38.8
41.59°, intensity 100.0
42.08°, intensity 49.2
60.27°, intensity 28.6
60.65°, intensity 57.3
76.23°, intensity 26.2